Starting from a structure optimized by DFT (PBE), the powder X-ray diffraction pattern of KPrSmSbO6 was calculated for Cu Kα.
Kinematic intensities with the Lorentz-polarization factor, no thermal factor.

Main lines, low angle first (2θ from 10° to 80°):
2θ/deg, d/Å, Rel. int., h k l
18.15, 4.888, 13, 1 1 1
20.98, 4.233, 10, 2 0 0
29.85, 2.994, 100, 2 2 0
35.15, 2.553, 8, 3 1 1
42.72, 2.117, 31, 4 0 0
48.06, 1.893, 4, 4 2 0
52.98, 1.728, 40, 4 2 2
62.00, 1.497, 19, 4 4 0
70.32, 1.339, 18, 6 2 0
78.22, 1.222, 6, 4 4 4

Structural model:
a b c (Å): 8.4670 8.4670 8.4670
angles (deg): 90.00 90.00 90.00
Space group F-43m (No. 216)
One atom of each set of equivalent atoms:
K 0.0000 0.0000 0.0000 [4 per cell]
Pr 0.0000 0.0000 0.5000 [4 per cell]
Sm 0.2500 0.2500 0.2500 [4 per cell]
Sb 0.2500 0.2500 0.7500 [4 per cell]
O 0.0154 0.2500 0.7500 [24 per cell]

=====

Starting from a structure optimized by DFT (PBE), the powder X-ray diffraction pattern of Sr3Re2N4 was calculated for Cu Kα.
Kinematic intensities with the Lorentz-polarization factor, no thermal factor.

Main lines, low angle first (2θ from 10° to 80°):
2θ/deg, d/Å, Rel. int., h k l
16.00, 5.539, 33, 2 0 0
19.20, 4.624, 28, 1 1 -1
28.43, 3.139, 57, 3 1 -1
30.86, 2.897, 100, 2 2 1
33.65, 2.664, 29, 1 1 -2
37.26, 2.413, 31, 0 4 0
38.99, 2.310, 24, 3 3 -1
41.83, 2.160, 24, 5 1 0
43.10, 2.099, 31, 1 3 -2
50.36, 1.812, 21, 4 0 2

Structural model:
a b c (Å): 11.2221 9.6521 5.5649
angles (deg): 90.00 99.17 90.00
Space group C2/c (No. 15)
One atom of each set of equivalent atoms:
Sr 0.0000 0.1118 0.2500 [4 per cell]
Sr 0.1243 0.3847 0.5391 [8 per cell]
Re 0.1969 0.1387 0.9109 [8 per cell]
N 0.1186 0.3205 0.0218 [8 per cell]
N 0.1797 0.0216 0.6144 [8 per cell]

=====

Starting from a structure optimized by DFT (PBE), the powder X-ray diffraction pattern of La4CuO8 was calculated for Cu Kα.
Kinematic intensities with the Lorentz-polarization factor, no thermal factor.

Main lines, low angle first (2θ from 10° to 80°):
2θ/deg, d/Å, Rel. int., h k l
24.79, 3.591, 60, 1 1 1
27.31, 3.265, 27, 0 4 0
31.56, 2.835, 100, 1 3 1
33.94, 2.641, 74, 2 0 0
42.22, 2.141, 28, 1 5 1
44.10, 2.053, 52, 2 4 0
48.76, 1.868, 38, 2 0 2
55.01, 1.669, 21, 1 7 1
59.25, 1.560, 35, 3 3 1
76.55, 1.245, 16, 3 7 1

Structural model:
a b c (Å): 5.2876 13.0618 5.2767
angles (deg): 90.00 90.00 90.00
Space group Cmmm (No. 65)
One atom of each set of equivalent atoms:
La 0.0000 0.1344 0.0000 [4 per cell]
La 0.0000 0.3636 0.5000 [4 per cell]
Cu 0.0000 0.5000 0.0000 [2 per cell]
O 0.0000 0.1859 0.5000 [4 per cell]
O 0.0000 0.3185 0.0000 [4 per cell]
O 0.2457 0.5000 0.2438 [8 per cell]

=====

Starting from a structure optimized by DFT (PBE), the powder X-ray diffraction pattern of Y2Mn3N4 was calculated for Cu Kα.
Kinematic intensities with the Lorentz-polarization factor, no thermal factor.

Main lines, low angle first (2θ from 10° to 80°):
2θ/deg, d/Å, Rel. int., h k l
15.45, 5.734, 43, 1 1 0
28.80, 3.100, 55, 0 2 1
29.53, 3.025, 36, 2 0 -2
30.43, 2.937, 95, 3 1 0
32.25, 2.776, 100, 2 2 -1
36.37, 2.470, 87, 2 2 1
36.69, 2.450, 36, 3 1 1
46.83, 1.940, 44, 3 1 -3
50.43, 1.809, 73, 0 2 3
60.52, 1.530, 40, 5 3 -1

Structural model:
a b c (Å): 10.0165 7.1193 6.5284
angles (deg): 90.00 105.06 90.00
Space group C2/c (No. 15)
One atom of each set of equivalent atoms:
Y 0.2082 0.1033 0.2461 [8 per cell]
Mn 0.0000 0.2576 0.7500 [4 per cell]
Mn 0.0276 0.3698 0.4188 [8 per cell]
N 0.1177 0.1745 0.5718 [8 per cell]
N 0.1285 0.4020 0.9737 [8 per cell]

=====

Starting from a structure optimized by DFT (PBE), the powder X-ray diffraction pattern of ZnCr4S8 was calculated for Cu Kα.
Kinematic intensities with the Lorentz-polarization factor, no thermal factor.

Main lines, low angle first (2θ from 10° to 80°):
2θ/deg, d/Å, Rel. int., h k l
14.60, 6.067, 46, 0 0 3
15.82, 5.604, 16, 1 0 1
17.94, 4.945, 10, 0 1 2
30.76, 2.907, 9, 0 2 1
36.34, 2.472, 100, 0 2 4
46.60, 1.949, 10, 0 2 7
50.71, 1.800, 32, 2 0 8
53.93, 1.700, 29, 2 2 0
66.77, 1.401, 14, 4 0 4
77.17, 1.236, 9, 0 4 8

Structural model:
a b c (Å): 6.8009 6.8009 18.2013
angles (deg): 90.00 90.00 120.00
Space group R-3m (No. 166, hexagonal axes)
One atom of each set of equivalent atoms:
Zn 0.0000 0.0000 0.0000 [3 per cell]
Cr 0.0000 0.0000 0.5000 [3 per cell]
Cr 0.0000 0.5000 0.5000 [9 per cell]
S 0.0000 0.0000 0.2389 [6 per cell]
S 0.0048 0.5024 0.7591 [18 per cell]

=====

Starting from a structure optimized by DFT (PBE), the powder X-ray diffraction pattern of KNaICl was calculated for Cu Kα.
Kinematic intensities with the Lorentz-polarization factor, no thermal factor.

Main lines, low angle first (2θ from 10° to 80°):
2θ/deg, d/Å, Rel. int., h k l
12.98, 6.819, 27, 0 0 1
19.68, 4.510, 50, 1 0 0
23.65, 3.762, 54, 1 0 1
26.14, 3.410, 60, 0 0 2
27.98, 3.189, 100, 1 1 0
32.93, 2.720, 28, 1 0 2
38.66, 2.329, 80, 1 1 2
39.98, 2.255, 36, 2 0 0
48.39, 1.881, 41, 2 0 2
71.73, 1.316, 24, 3 1 2

Structural model:
a b c (Å): 4.5104 4.5104 6.8191
angles (deg): 90.00 90.00 90.00
Space group P4/mmm (No. 123)
One atom of each set of equivalent atoms:
K 0.0000 0.0000 0.0000 [1 per cell]
Na 0.5000 0.5000 0.5000 [1 per cell]
I 0.0000 0.0000 0.5000 [1 per cell]
Cl 0.5000 0.5000 0.0000 [1 per cell]

=====

Starting from a structure optimized by DFT (PBE), the powder X-ray diffraction pattern of Na2LiLuCl6 was calculated for Cu Kα.
Kinematic intensities with the Lorentz-polarization factor, no thermal factor.

Main lines, low angle first (2θ from 10° to 80°):
2θ/deg, d/Å, Rel. int., h k l
15.12, 5.861, 100, 1 1 1
17.47, 5.076, 87, 2 0 0
24.81, 3.589, 41, 2 2 0
29.18, 3.061, 67, 3 1 1
35.37, 2.538, 69, 4 0 0
38.66, 2.329, 33, 3 3 1
39.71, 2.270, 41, 4 2 0
46.48, 1.954, 24, 3 3 3
50.88, 1.795, 45, 4 4 0
53.39, 1.716, 24, 5 3 1

Structural model:
a b c (Å): 10.1517 10.1517 10.1517
angles (deg): 90.00 90.00 90.00
Space group Fm-3m (No. 225)
One atom of each set of equivalent atoms:
Na 0.2500 0.2500 0.2500 [8 per cell]
Li 0.0000 0.0000 0.0000 [4 per cell]
Lu 0.0000 0.0000 0.5000 [4 per cell]
Cl 0.0000 0.0000 0.2480 [24 per cell]